Computed X-ray diffraction stick pattern
Compound: TlHg8Pb2
Radiation: Cu Kα (λ = 1.5418 Å)
Structure: DFT lattice parameters and positions (GGA-PBE)
Lines closer than 0.1° are merged.

Most intense lines, 15° ≤ 2θ ≤ 90°, sorted by position:
d = 2.840 Å, 2θ 31.5, I 51; d = 2.814 Å, 2θ 31.8, I 100; d = 2.692 Å, 2θ 33.3, I 44; d = 2.548 Å, 2θ 35.2, I 38; d = 2.363 Å, 2θ 38.1, I 31; d = 2.347 Å, 2θ 38.4, I 30; d = 1.699 Å, 2θ 54.0, I 22; d = 1.437 Å, 2θ 64.9, I 19

Crystal structure
abc: 3.3984 8.6104 10.8641
angles: 92.52 90.67 101.15
Space group P-1 (No. 2)
Unique sites:
Tl 0.0000 0.0000 0.0000 [1 per cell]
Hg 0.0776 0.1676 0.4503 [2 per cell]
Hg 0.1968 0.3712 0.9119 [2 per cell]
Hg 0.3572 0.7330 0.8166 [2 per cell]
Hg 0.4617 0.9034 0.2733 [2 per cell]
Pb 0.2647 0.5419 0.3664 [2 per cell]